For MnSiHNO, a structure optimized by DFT (GGA+U) gives the simulated XRD peak list in this record (Cu Kα, 1.54184 Å).

Structural model:
Lattice parameters (Å, degrees): 11.902 2.955 2.904 90.00 93.40 90.00
Atoms (fractional coordinates):
Mn: 0.000 0.000 0.000
Mn: 0.500 0.500 0.000
Si: 0.219 0.500 0.514
Si: 0.719 0.000 0.514
H: 0.458 0.000 0.595
H: 0.958 0.500 0.595
N: 0.143 0.000 0.497
N: 0.643 0.500 0.497
O: 0.297 0.500 0.033
O: 0.797 0.000 0.033

Main lines, in order of rising 2θ (2θ = 10–90°):
- 2θ = 14.9°, I = 22.8
- 2θ = 30.1°, I = 57.2
- 2θ = 31.2°, I = 100.0
- 2θ = 33.6°, I = 46.2
- 2θ = 35.2°, I = 45.8
- 2θ = 38.0°, I = 42.8
- 2θ = 44.1°, I = 24.8
- 2θ = 44.8°, I = 24.8
- 2θ = 57.8°, I = 29.5
- 2θ = 60.6°, I = 25.9